No. 1
For YInCu, a cell relaxed with GGA-PBE gives the theoretical powder diffraction line list in this record (λ = 1.5418 Å (Cu Kα)).
Lines closer than 0.1° are merged.

Most intense lines, 2θ from 15° to 90°, low angle first:
- 2θ 33.05, rel. 100
- 2θ 35.90, rel. 79
- 2θ 36.55, rel. 60
- 2θ 41.66, rel. 30
- 2θ 43.47, rel. 31
- 2θ 46.38, rel. 24
- 2θ 56.14, rel. 12
- 2θ 60.45, rel. 26
- 2θ 64.09, rel. 16
- 2θ 67.13, rel. 30

Structure:
```
data_YInCu
_cell_length_a 7.5105
_cell_length_b 7.5105
_cell_length_c 3.9153
_cell_angle_alpha 90.00
_cell_angle_beta 90.00
_cell_angle_gamma 120.00
_symmetry_space_group_name_H-M 'P -6 2 m'
_symmetry_Int_Tables_number 189
_symmetry_space_group_name_Hall 'P -6 -2'
loop_
_atom_site_label
_atom_site_type_symbol
_atom_site_fract_x
_atom_site_fract_y
_atom_site_fract_z
Y1 Y 0.0000 0.4092 0.0000
In1 In 0.0000 0.7462 0.5000
Cu1 Cu 0.0000 0.0000 0.0000
Cu2 Cu 0.3333 0.6667 0.5000
```

No. 2
For MgCu4Cl2O6, a cell relaxed with GGA-PBE gives the theoretical powder diffraction line list in this record (λ = 1.5418 Å (Cu Kα)).
Lines closer than 0.1° are merged.

Most intense lines, 2θ from 15° to 90°, low angle first:
- 2θ 17.14, rel. 97
- 2θ 18.18, rel. 100
- 2θ 31.82, rel. 37
- 2θ 34.37, rel. 94
- 2θ 34.68, rel. 30
- 2θ 36.02, rel. 44
- 2θ 36.74, rel. 37
- 2θ 36.88, rel. 33
- 2θ 37.97, rel. 79
- 2θ 43.21, rel. 80

Structure:
```
data_MgCu4Cl2O6
_cell_length_a 11.0401
_cell_length_b 6.1742
_cell_length_c 5.6977
_cell_angle_alpha 90.00
_cell_angle_beta 120.84
_cell_angle_gamma 90.00
_symmetry_space_group_name_H-M 'C 1 2 1'
_symmetry_Int_Tables_number 5
loop_
_symmetry_equiv_pos_as_xyz
'x,y,z'
'-x,y,-z'
'x+1/2,y+1/2,z'
'-x+1/2,y+1/2,-z'
loop_
_atom_site_label
_atom_site_type_symbol
_atom_site_fract_x
_atom_site_fract_y
_atom_site_fract_z
Mg1 Mg 0.0000 0.0000 0.0000
Cu1 Cu 0.0000 0.5002 0.0000
Cu2 Cu 0.0000 0.5005 0.5000
Cu3 Cu 0.2499 0.2503 0.5005
Cl1 Cl 0.2456 0.0019 0.1060
O1 O 0.0497 0.2904 0.2698
O2 O 0.0498 0.7103 0.2694
O3 O 0.2046 0.0003 0.6023
```